# 1
Computed X-ray diffraction stick pattern
Compound: CsSm2Cu3Se5
Radiation: Cu Kα
Structure: the PBE geometry in the Materials Project
Intensities are scaled so that the largest is 100.

Main lines, most intense first (15° ≤ 2θ ≤ 90°):
Position (°2θ)  I (rel.)
28.25  100
30.31  97
42.55  85
29.60  80
45.69  78
27.79  70
34.52  67
37.19  54
37.63  48
53.12  39
38.61  39
41.59  33

Structural model:
a b c (Å): 7.649 7.649 17.690
angles (deg): 90.00 90.00 147.74
Atoms (fractional coordinates):
Cs: 0.061 0.939 0.750
Cs: 0.939 0.061 0.250
Sm: 0.192 0.808 0.090
Sm: 0.192 0.808 0.410
Sm: 0.808 0.192 0.590
Sm: 0.808 0.192 0.910
Cu: 0.341 0.659 0.750
Cu: 0.417 0.583 0.031
Cu: 0.417 0.583 0.469
Cu: 0.583 0.417 0.531
Cu: 0.583 0.417 0.969
Cu: 0.659 0.341 0.250
Se: 0.169 0.831 0.571
Se: 0.169 0.831 0.929
Se: 0.235 0.765 0.250
Se: 0.441 0.559 0.610
Se: 0.441 0.559 0.890
Se: 0.559 0.441 0.110
Se: 0.559 0.441 0.390
Se: 0.765 0.235 0.750
Se: 0.831 0.169 0.071
Se: 0.831 0.169 0.429

# 2
Computed X-ray diffraction stick pattern
Compound: Ba2YCu3PbO7
Radiation: Cu Kα
Structure: the PBE geometry in the Materials Project
Intensities are scaled so that the largest is 100.

Main lines, most intense first (15° ≤ 2θ ≤ 90°):
Position (°2θ)  I (rel.)
32.52  100
31.79  75
31.91  39
31.49  38
57.72  29
27.79  26
46.78  25
46.51  24
57.49  15
68.10  15
41.57  14
57.18  14

Structural model:
a b c (Å): 14.535 14.535 3.905
angles (deg): 96.99 96.99 15.36
Atoms (fractional coordinates):
Ba: 0.000 0.000 0.000
Ba: 0.740 0.740 0.749
Y: 0.871 0.871 0.871
Cu: 0.313 0.313 0.315
Cu: 0.428 0.428 0.428
Cu: 0.582 0.582 0.612
Pb: 0.143 0.143 0.145
O: 0.220 0.220 0.233
O: 0.320 0.320 0.821
O: 0.422 0.422 0.922
O: 0.519 0.519 0.504
O: 0.646 0.646 0.762
O: 0.820 0.820 0.322
O: 0.922 0.922 0.421

# 3
Computed X-ray diffraction stick pattern
Compound: Pr2Al9Rh3
Radiation: Cu Kα
Structure: the PBE geometry in the Materials Project
Intensities are scaled so that the largest is 100.

Main lines, most intense first (15° ≤ 2θ ≤ 90°):
Position (°2θ)  I (rel.)
29.80  100
40.57  91
36.47  65
29.59  51
37.22  51
25.05  48
41.03  44
56.22  42
36.30  32
51.40  30
24.81  24
16.14  23

Structural model:
a b c (Å): 7.648 7.648 9.662
angles (deg): 90.00 90.00 60.73
Atoms (fractional coordinates):
Pr: 0.005 0.670 0.750
Pr: 0.330 0.995 0.750
Pr: 0.670 0.005 0.250
Pr: 0.995 0.330 0.250
Al: 0.004 0.665 0.072
Al: 0.004 0.665 0.428
Al: 0.130 0.870 0.250
Al: 0.335 0.665 0.547
Al: 0.335 0.665 0.953
Al: 0.335 0.996 0.072
Al: 0.335 0.996 0.428
Al: 0.339 0.454 0.250
Al: 0.454 0.339 0.750
Al: 0.546 0.661 0.250
Al: 0.661 0.546 0.750
Al: 0.665 0.004 0.572
Al: 0.665 0.004 0.928
Al: 0.665 0.335 0.047
Al: 0.665 0.335 0.453
Al: 0.870 0.130 0.750
Al: 0.996 0.335 0.572
Al: 0.996 0.335 0.928
Rh: 0.000 0.000 0.000
Rh: 0.000 0.000 0.500
Rh: 0.329 0.329 0.000
Rh: 0.329 0.329 0.500
Rh: 0.671 0.671 0.000
Rh: 0.671 0.671 0.500

# 4
Computed X-ray diffraction stick pattern
Compound: NaC3O3
Radiation: Cu Kα
Structure: the PBE geometry in the Materials Project
Intensities are scaled so that the largest is 100.

Main lines, most intense first (15° ≤ 2θ ≤ 90°):
Position (°2θ)  I (rel.)
26.01  100
39.98  47
30.36  46
40.31  37
43.74  27
39.26  26
19.42  24
22.77  23
39.43  21
41.33  18
59.30  11
45.22  10

Structural model:
a b c (Å): 9.338 8.284 7.124
angles (deg): 74.18 58.59 47.22
Atoms (fractional coordinates):
Na: 0.023 0.727 0.023
Na: 0.273 0.977 0.273
Na: 0.727 0.023 0.727
Na: 0.977 0.273 0.977
C: 0.173 0.476 0.592
C: 0.259 0.592 0.476
C: 0.273 0.273 0.477
C: 0.408 0.741 0.827
C: 0.476 0.173 0.259
C: 0.477 0.477 0.273
C: 0.523 0.523 0.727
C: 0.524 0.827 0.741
C: 0.592 0.259 0.173
C: 0.727 0.727 0.523
C: 0.741 0.408 0.524
C: 0.827 0.524 0.408
O: 0.008 0.557 0.782
O: 0.153 0.782 0.557
O: 0.186 0.186 0.564
O: 0.218 0.847 0.992
O: 0.436 0.436 0.814
O: 0.443 0.992 0.847
O: 0.557 0.008 0.153
O: 0.564 0.564 0.186
O: 0.782 0.153 0.008
O: 0.814 0.814 0.436
O: 0.847 0.218 0.443
O: 0.992 0.443 0.218

# 5
Computed X-ray diffraction stick pattern
Compound: ZrBeCd
Radiation: Cu Kα
Structure: the PBE geometry in the Materials Project
Intensities are scaled so that the largest is 100.

Main lines, most intense first (15° ≤ 2θ ≤ 90°):
Position (°2θ)  I (rel.)
23.97  100
39.65  88
46.87  48
71.95  29
63.03  19
57.33  14
77.08  14
85.43  9
27.75  2
64.86  1
49.09  1

Structural model:
a b c (Å): 6.429 6.429 6.429
angles (deg): 90.00 90.00 90.00
Atoms (fractional coordinates):
Zr: 0.000 0.000 0.000
Zr: 0.000 0.500 0.500
Zr: 0.500 0.000 0.500
Zr: 0.500 0.500 0.000
Be: 0.250 0.250 0.250
Be: 0.250 0.750 0.750
Be: 0.750 0.250 0.750
Be: 0.750 0.750 0.250
Cd: 0.250 0.250 0.750
Cd: 0.250 0.750 0.250
Cd: 0.750 0.250 0.250
Cd: 0.750 0.750 0.750